1.
Calculated X-ray powder pattern
Compound: PuInF4
Radiation: λ = 1.5418 Å (Cu Kα)
Structure: a DFT-relaxed cell (GGA-PBE, Alexandria)
Kinematic intensities with the Lorentz-polarization factor, no thermal factor.

Principal peaks in the range 10 to 90 degrees two-theta, sorted by position:
2θ 10.02, intensity 41; 2θ 24.72, intensity 80; 2θ 27.90, intensity 100; 2θ 34.63, intensity 21; 2θ 40.43, intensity 29; 2θ 45.54, intensity 44

Structure:
Cell: 6.226 3.811 17.661 Å, 90.00 90.00 90.00°
Atoms (fractional coordinates):
Pu: 0.244 0.250 0.054
Pu: 0.256 0.750 0.554
Pu: 0.744 0.250 0.446
Pu: 0.756 0.750 0.946
In: 0.178 0.750 0.307
In: 0.322 0.250 0.807
In: 0.678 0.750 0.193
In: 0.822 0.250 0.693
F: 0.015 0.750 0.446
F: 0.067 0.750 0.670
F: 0.112 0.750 0.120
F: 0.138 0.750 0.969
F: 0.362 0.250 0.469
F: 0.388 0.250 0.620
F: 0.433 0.250 0.170
F: 0.485 0.250 0.946
F: 0.515 0.750 0.054
F: 0.567 0.750 0.830
F: 0.612 0.750 0.380
F: 0.638 0.750 0.531
F: 0.862 0.250 0.031
F: 0.888 0.250 0.880
F: 0.933 0.250 0.330
F: 0.985 0.250 0.554



2.
Calculated X-ray powder pattern
Compound: Tb6Pr12Er
Radiation: λ = 1.5418 Å (Cu Kα)
Structure: a DFT-relaxed cell (GGA-PBE, Alexandria)
Kinematic intensities with the Lorentz-polarization factor, no thermal factor.

Principal peaks in the range 10 to 90 degrees two-theta, sorted by position:
2θ 30.17, intensity 41; 2θ 30.67, intensity 27; 2θ 30.92, intensity 100; 2θ 32.19, intensity 65; 2θ 32.55, intensity 32; 2θ 53.91, intensity 19

Structure:
Cell: 8.748 8.748 8.748 Å, 88.96 88.96 88.96°
Atoms (fractional coordinates):
Tb: 0.205 0.599 0.759
Tb: 0.241 0.795 0.401
Tb: 0.401 0.241 0.795
Tb: 0.599 0.759 0.205
Tb: 0.759 0.205 0.599
Tb: 0.795 0.401 0.241
Pr: 0.036 0.282 0.933
Pr: 0.067 0.964 0.718
Pr: 0.137 0.308 0.482
Pr: 0.282 0.933 0.036
Pr: 0.308 0.482 0.137
Pr: 0.482 0.137 0.308
Pr: 0.518 0.863 0.692
Pr: 0.692 0.518 0.863
Pr: 0.718 0.067 0.964
Pr: 0.863 0.692 0.518
Pr: 0.933 0.036 0.282
Pr: 0.964 0.718 0.067
Er: 0.500 0.500 0.500